Structure and theoretical powder XRD pattern of Cs3Ag2BiBr8 (DFT lattice parameters and positions (GGA-PBE); a wavelength of 1.5418 Å).

Structure:
a b c (Å): 8.0126 8.0126 10.5806
angles (deg): 90.00 90.00 120.00
Space group P-3m1 (No. 164)
Inequivalent atoms, fractional coordinates:
Cs: 0.0000 0.0000 0.0000 x1
Cs: 0.3333 0.6667 0.6288 x2
Ag: 0.3333 0.6667 0.1919 x2
Bi: 0.0000 0.0000 0.5000 x1
Br: 0.1659 0.3318 0.3364 x6
Br: 0.3333 0.6667 0.9536 x2

Principal peaks in the range 10° ≤ 2θ ≤ 90°, by angle:
d (Å)	2theta	I/Imax	hkl
5.803	15.3	22	1 0 1
4.207	21.1	41	0 1 2
4.006	22.2	100	1 1 0
3.297	27.0	28	0 2 1
3.194	27.9	23	1 1 2
2.901	30.8	85	2 0 2
2.473	36.3	39	2 0 3
2.313	38.9	23	3 0 0
2.104	43.0	53	0 2 4
2.003	45.3	48	2 2 0

***

Structure and theoretical powder XRD pattern of AgHg2BiBr4 (DFT lattice parameters and positions (GGA-PBE); a wavelength of 1.5418 Å).

Structure:
a b c (Å): 6.8993 7.0087 7.4151
angles (deg): 94.94 111.31 118.54
Space group P1 (No. 1)
Inequivalent atoms, fractional coordinates:
Ag: 0.0000 0.0000 0.0000 x1
Hg: 0.4676 0.5774 0.7262 x1
Hg: 0.7464 0.2429 0.7374 x1
Bi: 0.9274 0.5020 0.4368 x1
Br: 0.1075 0.9424 0.6991 x1
Br: 0.1412 0.7357 0.2127 x1
Br: 0.4744 0.4382 0.2302 x1
Br: 0.7526 0.0714 0.1699 x1

Principal peaks in the range 10° ≤ 2θ ≤ 90°, by angle:
d (Å)	2theta	I/Imax	hkl
4.843	18.3	37	-1 1 1
3.801	23.4	34	0 1 1
3.644	24.4	39	1 0 -2
3.193	27.9	100	2 -1 0
3.180	28.1	38	1 1 0
3.065	29.1	63	1 1 -2
2.985	29.9	57	-1 2 1
2.461	36.5	33	1 1 1
2.237	40.3	31	-2 1 3
2.052	44.1	38	0 3 -1

***

Structure and theoretical powder XRD pattern of Ag2BiBrO2 (DFT lattice parameters and positions (GGA-PBE); a wavelength of 1.5418 Å).

Structure:
a b c (Å): 5.7226 5.6587 7.9567
angles (deg): 90.00 100.79 90.00
Space group P2_1/m (No. 11)
Inequivalent atoms, fractional coordinates:
Ag: 0.0122 0.2500 0.2300 x2
Ag: 0.2981 0.7500 0.1070 x2
Bi: 0.3739 0.7500 0.5731 x2
Br: 0.2182 0.2500 0.9211 x2
O: 0.3278 0.0008 0.3581 x4

Principal peaks in the range 10° ≤ 2θ ≤ 90°, by angle:
d (Å)	2theta	I/Imax	hkl
3.988	22.3	46	1 1 0
3.216	27.7	100	0 1 2
2.997	29.8	48	1 1 -2
2.960	30.2	41	1 0 2
2.829	31.6	83	0 2 0
2.523	35.6	50	2 1 -1
2.517	35.7	93	2 0 -2
2.327	38.7	40	1 1 -3
2.045	44.3	42	1 2 2
1.880	48.4	44	2 2 -2

***

Structure and theoretical powder XRD pattern of Tl2AgBiBr6 (DFT lattice parameters and positions (GGA-PBE); a wavelength of 1.5418 Å).

Structure:
a b c (Å): 7.6413 8.1246 13.3574
angles (deg): 90.00 124.34 90.00
Space group P2_1/c (No. 14)
Inequivalent atoms, fractional coordinates:
Tl: 0.2199 0.0835 0.2490 x4
Ag: 0.0000 0.0000 0.5000 x2
Bi: 0.5000 0.0000 0.0000 x2
Br: 0.1416 0.1952 0.9500 x4
Br: 0.2619 0.6982 0.9526 x4
Br: 0.3493 0.0207 0.7470 x4

Principal peaks in the range 10° ≤ 2θ ≤ 90°, by angle:
d (Å)	2theta	I/Imax	hkl
3.931	22.6	96	1 1 1
3.904	22.8	100	1 1 -3
3.818	23.3	67	2 0 -2
3.305	27.0	61	2 1 -1
2.783	32.2	93	2 2 -2
2.757	32.5	81	0 0 4
2.553	35.2	39	1 3 -1
2.487	36.1	60	1 3 0
2.231	40.4	54	3 1 -1
2.216	40.7	54	3 1 -5

***

Structure and theoretical powder XRD pattern of CaAgBi (DFT lattice parameters and positions (GGA-PBE); a wavelength of 1.5418 Å).

Structure:
a b c (Å): 4.9157 4.9692 8.3938
angles (deg): 73.79 73.45 61.04
Space group P-1 (No. 2)
Inequivalent atoms, fractional coordinates:
Ca: 0.2322 0.2223 0.3051 x2
Ag: 0.3712 0.3779 0.8852 x2
Bi: 0.0000 0.0000 0.0000 x1
Bi: 0.5000 0.5000 0.5000 x1

Principal peaks in the range 10° ≤ 2θ ≤ 90°, by angle:
d (Å)	2theta	I/Imax	hkl
7.931	11.2	33	0 0 1
4.068	21.9	34	0 1 1
4.045	22.0	36	1 0 1
4.023	22.1	38	1 1 0
3.966	22.4	48	0 0 2
3.191	28.0	22	1 1 -1
2.510	35.8	56	1 -1 0
2.484	36.2	54	1 2 1
2.455	36.6	100	2 1 1
2.444	36.8	94	0 1 3

***

Structure and theoretical powder XRD pattern of Ca4AgBi3 (DFT lattice parameters and positions (GGA-PBE); a wavelength of 1.5418 Å).

Structure:
a b c (Å): 12.2266 12.2266 6.4728
angles (deg): 90.00 90.00 90.00
Space group I4/mcm (No. 140)
Inequivalent atoms, fractional coordinates:
Ca: 0.0777 0.2218 0.0000 x16
Ag: 0.0000 0.5000 0.2500 x4
Bi: 0.0000 0.0000 0.2500 x4
Bi: 0.1572 0.3428 0.5000 x8

Principal peaks in the range 10° ≤ 2θ ≤ 90°, by angle:
d (Å)	2theta	I/Imax	hkl
4.323	20.5	34	2 2 0
4.177	21.3	100	2 1 1
3.866	23.0	48	3 1 0
2.860	31.3	78	2 0 2
2.734	32.8	65	4 2 0
2.696	33.2	63	4 1 1
2.222	40.6	48	4 0 2
2.152	42.0	34	3 3 2
2.142	42.2	41	5 2 1
1.502	61.8	34	6 4 2

***

Structure and theoretical powder XRD pattern of CaAgBi (DFT lattice parameters and positions (GGA-PBE); a wavelength of 1.5418 Å).

Structure:
a b c (Å): 4.9322 4.9335 8.5337
angles (deg): 106.12 90.58 119.88
Space group P1 (No. 1)
Inequivalent atoms, fractional coordinates:
Ca: 0.0000 0.0000 0.0000 x1
Ca: 0.1656 0.3275 0.4961 x1
Ag: 0.2922 0.5865 0.8779 x1
Ag: 0.7271 0.4512 0.1795 x1
Bi: 0.4231 0.8417 0.2667 x1
Bi: 0.5842 0.1728 0.7562 x1

Principal peaks in the range 10° ≤ 2θ ≤ 90°, by angle:
d (Å)	2theta	I/Imax	hkl
8.067	11.0	16	0 0 1
4.209	21.1	86	0 1 -1
4.034	22.0	36	0 0 2
3.216	27.7	13	0 1 1
2.704	33.1	36	-1 1 2
2.683	33.4	38	1 0 2
2.678	33.5	36	0 1 -3
2.468	36.4	100	2 -1 0
2.115	42.7	17	-2 1 2
1.826	49.9	13	0 2 1

***

Structure and theoretical powder XRD pattern of Ca3AgBi2 (DFT lattice parameters and positions (GGA-PBE); a wavelength of 1.5418 Å).

Structure:
a b c (Å): 6.5645 16.6632 6.7689
angles (deg): 90.00 90.00 90.00
Space group Ibam (No. 72)
Inequivalent atoms, fractional coordinates:
Ca: 0.0000 0.0000 0.2500 x4
Ca: 0.2064 0.3311 0.0000 x8
Ag: 0.0000 0.5000 0.2500 x4
Bi: 0.2228 0.1348 0.0000 x8

Principal peaks in the range 10° ≤ 2θ ≤ 90°, by angle:
d (Å)	2theta	I/Imax	hkl
4.166	21.3	19	0 4 0
4.102	21.7	100	1 2 1
3.384	26.3	17	0 0 2
2.627	34.1	53	0 4 2
2.578	34.8	45	2 4 0
2.393	37.6	35	1 6 1
2.356	38.2	42	2 0 2
2.067	43.8	17	1 2 3
1.692	54.2	21	0 0 4
1.414	66.1	17	2 4 4

***

Structure and theoretical powder XRD pattern of Cs2CaAgBi2 (DFT lattice parameters and positions (GGA-PBE); a wavelength of 1.5418 Å).

Structure:
a b c (Å): 7.5293 17.5845 7.7534
angles (deg): 90.00 90.00 90.00
Space group Ibam (No. 72)
Inequivalent atoms, fractional coordinates:
Cs: 0.2376 0.1730 0.0000 x8
Ca: 0.0000 0.5000 0.2500 x4
Ag: 0.0000 0.0000 0.2500 x4
Bi: 0.2260 0.0885 0.5000 x8

Principal peaks in the range 10° ≤ 2θ ≤ 90°, by angle:
d (Å)	2theta	I/Imax	hkl
8.792	10.1	25	0 2 0
3.877	22.9	28	0 0 2
3.765	23.6	24	2 0 0
3.410	26.1	100	1 4 1
2.908	30.8	26	0 4 2
2.859	31.3	23	2 4 0
2.701	33.2	55	2 0 2
2.136	42.3	28	1 4 3
2.098	43.1	23	3 4 1
2.036	44.5	24	1 8 1

***

Structure and theoretical powder XRD pattern of CaAgBi2S4 (DFT lattice parameters and positions (GGA-PBE); a wavelength of 1.5418 Å).

Structure:
a b c (Å): 5.8063 5.8063 11.3923
angles (deg): 90.00 90.00 90.00
Space group I-4m2 (No. 119)
Inequivalent atoms, fractional coordinates:
Ca: 0.0000 0.0000 0.0000 x2
Ag: 0.0000 0.5000 0.7500 x2
Bi: 0.0000 0.0000 0.5000 x2
Bi: 0.0000 0.5000 0.2500 x2
S: 0.0000 0.0000 0.2526 x4
S: 0.0000 0.5000 0.0028 x4

Principal peaks in the range 10° ≤ 2θ ≤ 90°, by angle:
d (Å)	2theta	I/Imax	hkl
5.173	17.1	53	1 0 1
3.331	26.8	100	1 1 2
2.903	30.8	94	2 0 0
2.848	31.4	45	0 0 4
2.053	44.1	34	2 2 0
2.033	44.6	67	2 0 4
1.748	52.4	34	3 1 2
1.724	53.1	20	1 1 6
1.665	55.2	35	2 2 4
1.181	81.5	23	4 2 4

***

Structure and theoretical powder XRD pattern of CaAgBiTe3 (DFT lattice parameters and positions (GGA-PBE); a wavelength of 1.5418 Å).

Structure:
a b c (Å): 8.8933 4.4065 9.8683
angles (deg): 90.00 100.63 90.00
Space group P2_1/m (No. 11)
Inequivalent atoms, fractional coordinates:
Ca: 0.1729 0.2500 0.2598 x2
Ag: 0.0759 0.2500 0.5817 x2
Bi: 0.3321 0.7500 0.8389 x2
Te: 0.0919 0.2500 0.8796 x2
Te: 0.2585 0.7500 0.5059 x2
Te: 0.4091 0.7500 0.1585 x2

Principal peaks in the range 10° ≤ 2θ ≤ 90°, by angle:
d (Å)	2theta	I/Imax	hkl
7.186	12.3	73	1 0 -1
3.938	22.6	44	1 0 2
3.233	27.6	52	0 0 3
3.103	28.8	100	2 1 0
3.075	29.0	45	2 1 -1
2.606	34.4	69	1 1 -3
2.399	37.5	24	2 0 3
2.221	40.6	27	4 0 -1
2.203	41.0	35	0 2 0
2.105	43.0	37	2 1 3

***

Structure and theoretical powder XRD pattern of Ag5Bi2Cl12 (DFT lattice parameters and positions (GGA-PBE); a wavelength of 1.5418 Å).

Structure:
a b c (Å): 14.0802 7.6399 10.0607
angles (deg): 90.00 105.01 90.00
Space group C2/m (No. 12)
Inequivalent atoms, fractional coordinates:
Ag: 0.0000 0.0000 0.0000 x2
Ag: 0.2119 0.5000 0.8820 x4
Ag: 0.2145 0.5000 0.1844 x4
Bi: 0.0000 0.2497 0.5000 x4
Cl: 0.0508 0.5000 0.3331 x4
Cl: 0.0546 0.0000 0.3400 x4
Cl: 0.1292 0.2410 0.0221 x8
Cl: 0.1855 0.2569 0.6679 x8

Principal peaks in the range 10° ≤ 2θ ≤ 90°, by angle:
d (Å)	2theta	I/Imax	hkl
6.405	13.8	91	2 0 -1
4.996	17.8	62	2 0 1
4.550	19.5	67	2 0 -2
3.551	25.1	100	0 2 1
3.400	26.2	35	4 0 0
3.003	29.8	36	0 2 2
2.582	34.7	42	4 2 -1
2.485	36.1	52	2 2 -3
2.348	38.3	42	4 2 1
2.187	41.3	68	2 2 3

***

Structure and theoretical powder XRD pattern of Ag5BiCl12 (DFT lattice parameters and positions (GGA-PBE); a wavelength of 1.5418 Å).

Structure:
a b c (Å): 6.7427 6.7516 12.6508
angles (deg): 87.96 78.56 67.47
Space group P-1 (No. 2)
Inequivalent atoms, fractional coordinates:
Ag: 0.0000 0.0000 0.0000 x1
Ag: 0.1705 0.6700 0.5001 x2
Ag: 0.3339 0.3336 0.9989 x2
Bi: 0.5000 0.0000 0.5000 x1
Cl: 0.0093 0.2898 0.1138 x2
Cl: 0.1255 0.3424 0.6024 x2
Cl: 0.2405 0.9500 0.3726 x2
Cl: 0.3261 0.0441 0.8849 x2
Cl: 0.3393 0.6223 0.1141 x2
Cl: 0.4093 0.7010 0.6278 x2

Principal peaks in the range 10° ≤ 2θ ≤ 90°, by angle:
d (Å)	2theta	I/Imax	hkl
6.194	14.3	100	0 0 2
3.704	24.0	26	1 -1 1
3.414	26.1	25	-1 1 1
3.281	27.2	16	1 2 1
2.988	29.9	23	1 -1 3
2.695	33.2	15	2 1 -2
2.680	33.4	15	1 2 3
2.523	35.6	16	1 2 -3
2.505	35.8	15	2 1 4
2.064	43.9	14	2 1 -4